Simulated XRD peak list
Compound: Ca3SnS5
Radiation: CuKα
Structure: a DFT-relaxed cell (PBE, the Materials Project)

Structure:
Cell: 8.0718 8.0718 7.1438 Å, 90.00 90.00 120.00°
Space group P6_3cm (No. 185)
Unique sites:
Ca 0.0000 0.4222 0.0000 x6
Sn 0.0000 0.0000 0.2342 x2
S 0.0000 0.2366 0.4845 x6
S 0.3333 0.6667 0.2438 x4

Peak list (12 most intense, 10° ≤ 2θ ≤ 80°, most intense first)
2θ/deg	d/Å	I/Imax	hkl
33.50	2.675	100	1 1 2
12.66	6.990	60	1 0 0
36.25	2.478	37	2 1 1
42.56	2.124	31	2 1 2
25.48	3.495	30	2 0 0
38.64	2.330	27	3 0 0
22.02	4.036	25	1 1 0
52.05	1.757	14	2 2 2
28.05	3.181	14	1 0 2
51.68	1.769	12	2 1 3
60.71	1.525	11	4 1 0
53.80	1.704	11	3 1 2

Simulated XRD peak list
Compound: CaSn2S5
Radiation: CuKα
Structure: a DFT-relaxed cell (PBE, the Materials Project)

Structure:
Cell: 10.512 7.137 12.882 Å, 90.00 107.46 90.00°
Space group P2_1/c (No. 14)
Unique sites:
Ca 0.057 0.209 0.173 x4
Sn 0.324 0.063 0.466 x4
Sn 0.368 0.609 0.306 x4
S 0.098 0.513 0.499 x4
S 0.185 0.607 0.802 x4
S 0.205 0.115 0.874 x4
S 0.229 0.060 0.616 x4
S 0.472 0.726 0.042 x4

Peak list (12 most intense, 10° ≤ 2θ ≤ 80°, most intense first)
2θ/deg	d/Å	I/Imax	hkl
21.08	4.215	100	2 1 -1
17.98	4.935	78	1 1 1
14.47	6.120	73	1 0 -2
24.31	3.662	64	1 1 -3
28.21	3.163	56	1 2 1
31.71	2.822	50	0 1 4
19.08	4.652	42	1 0 2
32.88	2.724	42	2 2 1
34.55	2.596	41	2 1 3
40.69	2.218	40	1 3 -2
25.07	3.553	39	0 1 3
22.81	3.898	35	1 1 2

Simulated XRD peak list
Compound: CaSnS3
Radiation: CuKα
Structure: a DFT-relaxed cell (PBE, the Materials Project)

Structure:
Cell: 8.607 8.746 11.846 Å, 69.63 83.86 76.55°
Space group P-1 (No. 2)
Unique sites:
Ca 0.074 0.427 0.332 x2
Ca 0.246 0.246 0.001 x2
Ca 0.398 0.736 0.367 x2
Sn 0.036 0.024 0.689 x2
Sn 0.268 0.769 0.998 x2
Sn 0.393 0.659 0.702 x2
S 0.077 0.693 0.427 x2
S 0.101 0.573 0.067 x2
S 0.128 0.046 0.870 x2
S 0.167 0.135 0.262 x2
S 0.250 0.442 0.745 x2
S 0.270 0.938 0.573 x2
S 0.388 0.392 0.432 x2
S 0.409 0.860 0.116 x2
S 0.499 0.683 0.875 x2

Peak list (12 most intense, 10° ≤ 2θ ≤ 80°, most intense first)
2θ/deg	d/Å	I/Imax	hkl
13.60	6.511	100	1 1 0
24.05	3.700	43	0 0 3
23.92	3.720	41	1 1 3
22.50	3.952	41	2 0 1
26.03	3.423	35	0 2 -1
27.09	3.292	31	2 0 -2
26.57	3.355	26	1 -2 0
22.62	3.931	25	0 2 2
30.80	2.903	22	2 2 3
26.17	3.405	22	2 2 1
20.79	4.274	19	-1 1 2
25.58	3.482	19	1 -1 2

Simulated XRD peak list
Compound: CaSn2S5
Radiation: CuKα
Structure: a DFT-relaxed cell (PBE, the Materials Project)

Structure:
Cell: 15.174 9.863 6.551 Å, 90.00 90.00 90.00°
Space group Pnma (No. 62)
Unique sites:
Ca 0.030 0.250 0.129 x4
Sn 0.172 0.539 0.638 x8
S 0.051 0.039 0.825 x8
S 0.101 0.750 0.525 x4
S 0.186 0.076 0.302 x8

Peak list (12 most intense, 10° ≤ 2θ ≤ 80°, most intense first)
2θ/deg	d/Å	I/Imax	hkl
17.95	4.942	100	0 2 0
22.20	4.004	71	3 0 1
25.47	3.497	40	2 2 1
32.69	2.740	33	2 3 1
21.49	4.135	31	2 2 0
16.24	5.457	27	0 1 1
28.72	3.108	23	3 2 1
44.66	2.029	22	5 2 2
27.86	3.202	22	1 0 2
45.23	2.005	21	3 0 3
37.41	2.404	21	5 2 1
39.28	2.294	19	1 3 2